Entry 1:
The following is a computed powder diffraction line list of Cs3K4. It was derived from a DFT-relaxed cell (PBE, Alexandria), using Cu Ka.
Peak positions follow from Bragg's law for the DFT cell and can differ from measured ones.

Most intense lines, 2θ = 10–90°, in order of rising 2θ:
2theta  I_rel
13.9  40
22.0  100
22.3  79
22.6  96
30.7  20
32.2  44
39.3  21
39.7  24
43.1  26
52.0  26

Structural model:
```
Cs3K4
1.0
4.9267 0.0000 0.0000
0.0000 7.8591 0.0000
0.0000 0.0000 32.4663
Cs K
6 8
Direct
0.0000 0.0000 0.0000
0.0000 0.5000 0.2053
0.0000 0.5000 0.7947
0.5000 0.0000 0.2947
0.5000 0.0000 0.7053
0.5000 0.5000 0.5000
0.0000 0.0000 0.4309
0.0000 0.0000 0.5691
0.0000 0.5000 0.3598
0.0000 0.5000 0.6402
0.5000 0.0000 0.1402
0.5000 0.0000 0.8598
0.5000 0.5000 0.0691
0.5000 0.5000 0.9309
```

Entry 2:
The following is a computed powder diffraction line list of KLiP2. It was derived from a DFT-relaxed cell (PBE, Alexandria), using Cu Ka.
Peak positions follow from Bragg's law for the DFT cell and can differ from measured ones.

Most intense lines, 2θ = 10–90°, in order of rising 2θ:
2theta  I_rel
14.1  24
21.4  100
28.4  16
29.4  48
34.2  63
36.6  80
41.0  28
41.4  17
54.4  29
55.8  31

Structural model:
```
KLiP2
1.0
3.3606 0.0000 0.0000
0.0000 4.4032 0.0000
0.0000 0.0000 12.5534
K Li P
2 2 4
Direct
0.0000 0.0000 0.0000
0.5000 0.5000 0.5000
0.0000 0.5000 0.7509
0.5000 0.0000 0.2509
0.0000 0.0000 0.6484
0.0000 0.5000 0.2684
0.5000 0.0000 0.7684
0.5000 0.5000 0.1484
```

Entry 3:
The following is a computed powder diffraction line list of CeDyCuPt. It was derived from a DFT-relaxed cell (PBE, Alexandria), using Cu Ka.
Peak positions follow from Bragg's law for the DFT cell and can differ from measured ones.

Most intense lines, 2θ = 10–90°, in order of rising 2θ:
2theta  I_rel
16.8  19
32.0  100
34.0  25
34.9  25
39.5  23
39.8  31
40.3  64
48.2  18
64.2  15
80.7  15

Structural model:
```
CeDyCuPt
1.0
4.5350 0.0000 0.0000
0.0000 3.7737 0.0000
0.0000 0.0000 10.5442
Ce Dy Cu Pt
2 2 2 2
Direct
0.0000 0.0000 0.0000
0.0000 0.5000 0.5000
0.5000 0.0000 0.7225
0.5000 0.5000 0.2225
0.5000 0.0000 0.4413
0.5000 0.5000 0.9413
0.0000 0.0000 0.2812
0.0000 0.5000 0.7812
```

Entry 4:
The following is a computed powder diffraction line list of Cs2RbBaI5. It was derived from a DFT-relaxed cell (PBE, Alexandria), using Cu Ka.
Peak positions follow from Bragg's law for the DFT cell and can differ from measured ones.

Most intense lines, 2θ = 10–90°, in order of rising 2θ:
2theta  I_rel
19.9  37
22.9  100
24.3  26
25.8  29
26.3  23
26.5  40
30.5  23
34.0  37
34.2  22
36.1  22

Structural model:
```
Cs2RbBaI5
1.0
2.6405 -11.2281 0.0000
2.6405 11.2281 0.0000
0.0000 0.0000 17.8031
Cs Rb Ba I
4 2 2 10
Direct
0.0784 0.9216 0.5000
0.1344 0.8656 0.1413
0.8656 0.1344 0.6413
0.9216 0.0784 0.0000
0.4525 0.5475 0.2958
0.5475 0.4525 0.7958
0.2343 0.7657 0.8792
0.7657 0.2343 0.3792
0.0849 0.9151 0.9217
0.2531 0.7469 0.5107
0.2895 0.7105 0.2531
0.3845 0.6155 0.8380
0.4918 0.5082 0.6110
0.5082 0.4918 0.1110
0.6155 0.3845 0.3380
0.7105 0.2895 0.7531
0.7469 0.2531 0.0107
0.9151 0.0849 0.4217
```

Entry 5:
The following is a computed powder diffraction line list of Sm2CuAg3. It was derived from a DFT-relaxed cell (PBE, Alexandria), using Cu Ka.
Peak positions follow from Bragg's law for the DFT cell and can differ from measured ones.

Most intense lines, 2θ = 10–90°, in order of rising 2θ:
2theta  I_rel
33.4  100
33.5  49
38.3  34
38.7  64
51.1  14
51.8  28
52.2  13
65.6  13
65.8  25
66.2  13

Structural model:
```
Sm2CuAg3
1.0
3.5780 0.0000 0.0000
0.0000 4.6947 0.0000
0.0000 0.0000 8.0478
Sm Cu Ag
2 1 3
Direct
0.0000 0.0000 0.0000
0.0000 0.5000 0.4783
0.5000 0.0000 0.3154
0.5000 0.0000 0.6426
0.5000 0.5000 0.1639
0.5000 0.5000 0.8213
```